[1]
Computed powder diffraction line list of SrAs2Pt6 for Cu Kα (λ = 1.5418 Å), from a DFT-relaxed cell (PBE, Alexandria).

Cell and atoms:
```
SrAs2Pt6
1.0
4.111 0.000 0.000
0.000 4.111 0.000
0.000 0.000 9.880
Sr As Pt
1 2 6
Direct
0.000 0.000 0.000
0.500 0.500 0.159
0.500 0.500 0.841
0.000 0.000 0.500
0.000 0.500 0.300
0.000 0.500 0.700
0.500 0.000 0.300
0.500 0.000 0.700
0.500 0.500 0.500
```

Top 6 peaks for 2θ from 15° to 90°, low angle first:
- 2θ = 35.84°, d = 2.505 Å, I = 100
- 2θ = 41.43°, d = 2.179 Å, I = 72
- 2θ = 44.05°, d = 2.056 Å, I = 52
- 2θ = 65.53°, d = 1.425 Å, I = 17
- 2θ = 75.64°, d = 1.257 Å, I = 24
- 2θ = 79.21°, d = 1.209 Å, I = 22

[2]
Computed powder diffraction line list of Sr3As4Pt4 for Cu Kα (λ = 1.5418 Å), from a DFT-relaxed cell (PBE, Alexandria).

Cell and atoms:
```
Sr3As4Pt4
1.0
12.411 -2.298 0.000
12.411 2.298 0.000
-0.803 0.000 4.417
Sr As Pt
3 4 4
Direct
0.000 0.000 0.000
0.148 0.148 0.649
0.852 0.852 0.351
0.249 0.249 0.249
0.402 0.402 0.902
0.598 0.598 0.098
0.751 0.751 0.751
0.298 0.298 0.798
0.444 0.444 0.443
0.556 0.556 0.557
0.702 0.702 0.202
```

Top 6 peaks for 2θ from 15° to 90°, low angle first:
- 2θ = 19.65°, d = 4.517 Å, I = 63
- 2θ = 28.74°, d = 3.106 Å, I = 88
- 2θ = 32.21°, d = 2.779 Å, I = 100
- 2θ = 39.20°, d = 2.298 Å, I = 60
- 2θ = 40.17°, d = 2.245 Å, I = 56
- 2θ = 52.39°, d = 1.746 Å, I = 51